No. 1
Simulated X-ray powder pattern of Th2BiRh3 for Cu Kα (weighted mean of Kα1 and Kα2), from a DFT-relaxed cell (PBE, Alexandria).
Peak positions follow from Bragg's law for the DFT cell and can differ from measured ones.

Structure:
Lattice parameters (Å, degrees): 9.4082 9.4082 9.4082 60.00 60.00 60.00
Fractional coordinates of all 24 atoms:
Th  0.1955  0.7682  0.7682
Th  0.2318  0.2318  0.2318
Th  0.2318  0.2318  0.8045
Th  0.2318  0.8045  0.2318
Th  0.7682  0.1955  0.7682
Th  0.7682  0.7682  0.1955
Th  0.7682  0.7682  0.7682
Th  0.8045  0.2318  0.2318
Bi  0.0000  0.5000  0.5000
Bi  0.5000  0.0000  0.5000
Bi  0.5000  0.5000  0.0000
Bi  0.5000  0.5000  0.5000
Rh  0.1273  0.1273  0.6227
Rh  0.1273  0.6227  0.1273
Rh  0.1273  0.6227  0.6227
Rh  0.3773  0.3773  0.8727
Rh  0.3773  0.8727  0.3773
Rh  0.3773  0.8727  0.8727
Rh  0.6227  0.1273  0.1273
Rh  0.6227  0.1273  0.6227
Rh  0.6227  0.6227  0.1273
Rh  0.8727  0.3773  0.3773
Rh  0.8727  0.3773  0.8727
Rh  0.8727  0.8727  0.3773

Most intense lines, 2θ = 10–80°, in order of rising 2θ:
two_theta  I/Imax
22.16  177
23.16  130
26.80  130
29.26  234
35.04  126
38.27  1000
52.85  177
55.23  141
56.62  103
69.18  251

***

No. 2
Simulated X-ray powder pattern of AcNdAgHg for Cu Kα (weighted mean of Kα1 and Kα2), from a DFT-relaxed cell (PBE, Alexandria).
Peak positions follow from Bragg's law for the DFT cell and can differ from measured ones.

Structure:
Lattice parameters (Å, degrees): 3.8924 3.8924 7.8337 90.00 90.00 90.00
Fractional coordinates of all 4 atoms:
Ac  0.0000  0.0000  0.0000
Nd  0.0000  0.0000  0.4888
Ag  0.5000  0.5000  0.2667
Hg  0.5000  0.5000  0.7239

Most intense lines, 2θ = 10–80°, in order of rising 2θ:
two_theta  I/Imax
25.55  95
32.43  1000
32.53  514
46.36  84
46.67  190
57.78  175
57.98  385
67.90  108
77.04  64
77.53  169

***

No. 3
Simulated X-ray powder pattern of Zr2TiIn2S6 for Cu Kα (weighted mean of Kα1 and Kα2), from a DFT-relaxed cell (PBE, Alexandria).
Peak positions follow from Bragg's law for the DFT cell and can differ from measured ones.

Structure:
Lattice parameters (Å, degrees): 6.2004 6.2004 7.9491 97.87 97.87 119.95
Fractional coordinates of all 11 atoms:
Zr  0.1674  0.8326  0.0000
Zr  0.8326  0.1674  0.0000
Ti  0.5000  0.5000  0.0000
In  0.3289  0.6711  0.5000
In  0.6711  0.3289  0.5000
S  0.1089  0.4313  0.8020
S  0.2507  0.2507  0.1975
S  0.4313  0.1089  0.8020
S  0.5687  0.8911  0.1980
S  0.7493  0.7493  0.8025
S  0.8911  0.5687  0.1980

Most intense lines, 2θ = 10–80°, in order of rising 2θ:
two_theta  I/Imax
16.51  177
18.15  230
22.82  147
23.27  266
29.80  229
32.63  503
32.94  1000
42.81  386
43.27  205
51.01  420

***

No. 4
Simulated X-ray powder pattern of Th2Al5Zn12 for Cu Kα (weighted mean of Kα1 and Kα2), from a DFT-relaxed cell (PBE, Alexandria).
Peak positions follow from Bragg's law for the DFT cell and can differ from measured ones.

Structure:
Lattice parameters (Å, degrees): 6.9217 6.9217 6.9217 83.14 83.14 83.14
Fractional coordinates of all 19 atoms:
Th  0.1662  0.1662  0.1662
Th  0.8338  0.8338  0.8338
Al  0.0000  0.5000  0.5000
Al  0.4004  0.4004  0.4004
Al  0.5000  0.0000  0.5000
Al  0.5000  0.5000  0.0000
Al  0.5996  0.5996  0.5996
Zn  0.1465  0.1465  0.6626
Zn  0.1465  0.6626  0.1465
Zn  0.2019  0.5000  0.7981
Zn  0.2019  0.7981  0.5000
Zn  0.3374  0.8535  0.8535
Zn  0.5000  0.2019  0.7981
Zn  0.5000  0.7981  0.2019
Zn  0.6626  0.1465  0.1465
Zn  0.7981  0.2019  0.5000
Zn  0.7981  0.5000  0.2019
Zn  0.8535  0.3374  0.8535
Zn  0.8535  0.8535  0.3374

Most intense lines, 2θ = 10–80°, in order of rising 2θ:
two_theta  I/Imax
12.96  272
26.08  201
27.92  406
33.80  401
35.11  284
39.23  370
39.57  1000
40.56  272
53.80  171
64.35  179

***

No. 5
Simulated X-ray powder pattern of Tl2Sb for Cu Kα (weighted mean of Kα1 and Kα2), from a DFT-relaxed cell (PBE, Alexandria).
Peak positions follow from Bragg's law for the DFT cell and can differ from measured ones.

Structure:
Lattice parameters (Å, degrees): 7.6199 5.2535 9.5685 90.00 90.00 90.00
Fractional coordinates of all 12 atoms:
Tl  0.0224  0.2500  0.1946
Tl  0.1585  0.2500  0.5734
Tl  0.3415  0.7500  0.0734
Tl  0.4776  0.7500  0.6946
Tl  0.5224  0.2500  0.3054
Tl  0.6585  0.2500  0.9266
Tl  0.8415  0.7500  0.4266
Tl  0.9776  0.7500  0.8054
Sb  0.2426  0.2500  0.8997
Sb  0.2574  0.7500  0.3997
Sb  0.7426  0.2500  0.6003
Sb  0.7574  0.7500  0.1003

Most intense lines, 2θ = 10–80°, in order of rising 2θ:
two_theta  I/Imax
27.81  535
28.95  346
29.98  279
30.44  1000
32.85  684
34.13  495
36.60  154
36.75  142
46.06  174
55.60  240

***

No. 6
Simulated X-ray powder pattern of NaMg2S3O12 for Cu Kα (weighted mean of Kα1 and Kα2), from a DFT-relaxed cell (PBE, Alexandria).
Peak positions follow from Bragg's law for the DFT cell and can differ from measured ones.

Structure:
Lattice parameters (Å, degrees): 8.9974 8.9974 8.9974 57.67 57.67 57.67
Fractional coordinates of all 36 atoms:
Na  0.0000  0.0000  0.0000
Na  0.5000  0.5000  0.5000
Mg  0.1483  0.1483  0.1483
Mg  0.3517  0.3517  0.3517
Mg  0.6483  0.6483  0.6483
Mg  0.8517  0.8517  0.8517
S  0.0446  0.7500  0.4554
S  0.2500  0.5446  0.9554
S  0.4554  0.0446  0.7500
S  0.5446  0.9554  0.2500
S  0.7500  0.4554  0.0446
S  0.9554  0.2500  0.5446
O  0.0116  0.7899  0.6111
O  0.0696  0.9123  0.2761
O  0.0877  0.7239  0.9304
O  0.1111  0.2899  0.5116
O  0.2101  0.3889  0.9884
O  0.2239  0.5877  0.4304
O  0.2761  0.0696  0.9123
O  0.2899  0.5116  0.1111
O  0.3889  0.9884  0.2101
O  0.4123  0.5696  0.7761
O  0.4304  0.2239  0.5877
O  0.4884  0.8889  0.7101
O  0.5116  0.1111  0.2899
O  0.5696  0.7761  0.4123
O  0.5877  0.4304  0.2239
O  0.6111  0.0116  0.7899
O  0.7101  0.4884  0.8889
O  0.7239  0.9304  0.0877
O  0.7761  0.4123  0.5696
O  0.7899  0.6111  0.0116
O  0.8889  0.7101  0.4884
O  0.9123  0.2761  0.0696
O  0.9304  0.0877  0.7239
O  0.9884  0.2101  0.3889

Most intense lines, 2θ = 10–80°, in order of rising 2θ:
two_theta  I/Imax
23.71  1000
23.81  73
28.60  54
31.60  230
31.75  117
35.84  86
41.81  49
45.46  60
48.52  104
56.08  62

***

No. 7
Simulated X-ray powder pattern of KRbSrBr4 for Cu Kα (weighted mean of Kα1 and Kα2), from a DFT-relaxed cell (PBE, Alexandria).
Peak positions follow from Bragg's law for the DFT cell and can differ from measured ones.

Structure:
Lattice parameters (Å, degrees): 5.9591 5.9591 17.3411 90.00 90.00 90.00
Fractional coordinates of all 14 atoms:
K  0.0000  0.0000  0.0000
K  0.5000  0.5000  0.5000
Rb  0.0000  0.0000  0.2798
Rb  0.5000  0.5000  0.7798
Sr  0.0000  0.0000  0.6419
Sr  0.5000  0.5000  0.1419
Br  0.0000  0.0000  0.4695
Br  0.0000  0.0000  0.8156
Br  0.0000  0.5000  0.1386
Br  0.0000  0.5000  0.6386
Br  0.5000  0.0000  0.1386
Br  0.5000  0.0000  0.6386
Br  0.5000  0.5000  0.3156
Br  0.5000  0.5000  0.9695

Most intense lines, 2θ = 10–80°, in order of rising 2θ:
two_theta  I/Imax
10.20  415
21.08  384
23.47  503
29.56  451
29.81  406
29.99  1000
30.94  356
42.79  295
42.93  363
43.63  539

***

No. 8
Simulated X-ray powder pattern of HoEr5Bi5 for Cu Kα (weighted mean of Kα1 and Kα2), from a DFT-relaxed cell (PBE, Alexandria).
Peak positions follow from Bragg's law for the DFT cell and can differ from measured ones.

Structure:
Lattice parameters (Å, degrees): 7.5759 7.5759 8.7777 106.77 106.77 48.51
Fractional coordinates of all 11 atoms:
Ho  0.0000  0.0000  0.0000
Er  0.0000  0.0000  0.5000
Er  0.3370  0.3370  0.1732
Er  0.3367  0.3367  0.6635
Er  0.6633  0.6633  0.3365
Er  0.6630  0.6630  0.8268
Bi  0.1669  0.1669  0.3359
Bi  0.1703  0.1703  0.8322
Bi  0.5000  0.5000  0.0000
Bi  0.8297  0.8297  0.1678
Bi  0.8331  0.8331  0.6641

Most intense lines, 2θ = 10–80°, in order of rising 2θ:
two_theta  I/Imax
28.68  509
28.84  1000
41.13  977
41.34  192
50.92  212
51.09  209
67.34  189
67.53  183
74.95  205
75.23  136

***

Please write out number 6 again, unchanged.
Simulated X-ray powder pattern of NaMg2S3O12 for Cu Kα (weighted mean of Kα1 and Kα2), from a DFT-relaxed cell (PBE, Alexandria).
Peak positions follow from Bragg's law for the DFT cell and can differ from measured ones.

Structure:
Lattice parameters (Å, degrees): 8.9974 8.9974 8.9974 57.67 57.67 57.67
Fractional coordinates of all 36 atoms:
Na  0.0000  0.0000  0.0000
Na  0.5000  0.5000  0.5000
Mg  0.1483  0.1483  0.1483
Mg  0.3517  0.3517  0.3517
Mg  0.6483  0.6483  0.6483
Mg  0.8517  0.8517  0.8517
S  0.0446  0.7500  0.4554
S  0.2500  0.5446  0.9554
S  0.4554  0.0446  0.7500
S  0.5446  0.9554  0.2500
S  0.7500  0.4554  0.0446
S  0.9554  0.2500  0.5446
O  0.0116  0.7899  0.6111
O  0.0696  0.9123  0.2761
O  0.0877  0.7239  0.9304
O  0.1111  0.2899  0.5116
O  0.2101  0.3889  0.9884
O  0.2239  0.5877  0.4304
O  0.2761  0.0696  0.9123
O  0.2899  0.5116  0.1111
O  0.3889  0.9884  0.2101
O  0.4123  0.5696  0.7761
O  0.4304  0.2239  0.5877
O  0.4884  0.8889  0.7101
O  0.5116  0.1111  0.2899
O  0.5696  0.7761  0.4123
O  0.5877  0.4304  0.2239
O  0.6111  0.0116  0.7899
O  0.7101  0.4884  0.8889
O  0.7239  0.9304  0.0877
O  0.7761  0.4123  0.5696
O  0.7899  0.6111  0.0116
O  0.8889  0.7101  0.4884
O  0.9123  0.2761  0.0696
O  0.9304  0.0877  0.7239
O  0.9884  0.2101  0.3889

Most intense lines, 2θ = 10–80°, in order of rising 2θ:
two_theta  I/Imax
23.71  1000
23.81  73
28.60  54
31.60  230
31.75  117
35.84  86
41.81  49
45.46  60
48.52  104
56.08  62